Record 1
This entry pairs a crystal structure of FeOF with its computed powder diffractogram. Radiation: Cu Kα (λ = 1.5418 Å). Structure: a DFT-relaxed cell (PBE+U, the Materials Project).

Largest 10 diffraction maxima, by angle, 2θ from 15° to 90°:
2θ = 26.5°, rel. 91; 2θ = 26.7°, rel. 90; 2θ = 34.5°, rel. 100; 2θ = 38.0°, rel. 15; 2θ = 39.6°, rel. 36; 2θ = 52.2°, rel. 54; 2θ = 52.3°, rel. 53; 2θ = 59.5°, rel. 18; 2θ = 66.3°, rel. 40; 2θ = 66.4°, rel. 19

Cell and atoms:
```
data_FeOF
_cell_length_a 9.4795
_cell_length_b 3.1070
_cell_length_c 14.2132
_cell_angle_alpha 90.00
_cell_angle_beta 90.28
_cell_angle_gamma 90.00
_space_group_name_H-M_alt 'P 1 m 1'
_space_group_IT_number 6
loop_
_space_group_symop_operation_xyz
'x,y,z'
'x,-y,z'
loop_
_atom_site_label
_atom_site_type_symbol
_atom_site_fract_x
_atom_site_fract_y
_atom_site_fract_z
Fe1 Fe 0.0000 0.0000 0.0000
Fe2 Fe 0.0007 0.0000 0.3248
Fe3 Fe 0.2111 0.5000 0.8324
Fe4 Fe 0.2198 0.5000 0.4896
Fe5 Fe 0.2235 0.5000 0.1578
Fe6 Fe 0.4758 0.0000 0.0124
Fe7 Fe 0.4998 0.0000 0.6666
Fe8 Fe 0.5048 0.0000 0.3277
Fe9 Fe 0.7114 0.5000 0.1609
Fe10 Fe 0.7120 0.5000 0.4976
Fe11 Fe 0.7290 0.5000 0.8219
Fe12 Fe 0.9781 0.0000 0.6801
O1 O 0.0717 0.5000 0.0612
O2 O 0.0802 0.5000 0.3971
O3 O 0.0807 0.5000 0.7231
O4 O 0.1309 0.0000 0.8926
O5 O 0.1337 0.0000 0.2288
O6 O 0.3253 0.0000 0.0995
O7 O 0.5702 0.5000 0.7314
O8 O 0.5776 0.5000 0.3946
O9 O 0.5793 0.5000 0.0577
O10 O 0.6329 0.0000 0.5619
O11 O 0.6359 0.0000 0.2258
O12 O 0.8229 0.0000 0.7666
F1 F 0.1329 0.0000 0.5605
F2 F 0.3269 0.0000 0.7615
F3 F 0.3290 0.0000 0.4332
F4 F 0.3731 0.5000 0.5944
F5 F 0.3822 0.5000 0.9264
F6 F 0.3834 0.5000 0.2700
F7 F 0.6291 0.0000 0.8957
F8 F 0.8282 0.0000 0.0972
F9 F 0.8305 0.0000 0.4298
F10 F 0.8737 0.5000 0.9333
F11 F 0.8825 0.5000 0.2630
F12 F 0.8865 0.5000 0.5935
```

---

Record 2
This entry pairs a crystal structure of MgMn4O8 with its computed powder diffractogram. Radiation: Cu Kα (λ = 1.5418 Å). Structure: a DFT-relaxed cell (PBE+U, the Materials Project).

Largest 10 diffraction maxima, by angle, 2θ from 15° to 90°:
2θ = 21.5°, rel. 100; 2θ = 28.3°, rel. 83; 2θ = 35.7°, rel. 84; 2θ = 37.9°, rel. 29; 2θ = 47.8°, rel. 32; 2θ = 47.9°, rel. 18; 2θ = 54.6°, rel. 25; 2θ = 55.0°, rel. 44; 2θ = 62.6°, rel. 17; 2θ = 64.3°, rel. 22

Cell and atoms:
```
data_MgMn4O8
_cell_length_a 5.8152
_cell_length_b 6.3141
_cell_length_c 8.2482
_cell_angle_alpha 90.00
_cell_angle_beta 90.00
_cell_angle_gamma 90.00
_space_group_name_H-M_alt 'I m m 2'
_space_group_IT_number 44
loop_
_space_group_symop_operation_xyz
'x,y,z'
'-x,-y,z'
'-x,y,z'
'x,-y,z'
'x+1/2,y+1/2,z+1/2'
'-x+1/2,-y+1/2,z+1/2'
'-x+1/2,y+1/2,z+1/2'
'x+1/2,-y+1/2,z+1/2'
loop_
_atom_site_label
_atom_site_type_symbol
_atom_site_fract_x
_atom_site_fract_y
_atom_site_fract_z
Mg1 Mg 0.0000 0.0000 0.0000
Mn1 Mn 0.0000 0.0000 0.3192
Mn2 Mn 0.0000 0.5000 0.8042
Mn3 Mn 0.2434 0.5000 0.2200
O1 O 0.0000 0.1874 0.7978
O2 O 0.0000 0.3096 0.2838
O3 O 0.2433 0.5000 0.9688
O4 O 0.2439 0.0000 0.1589
```